1.
Structure and calculated powder XRD pattern of Ca4Zn3FeSi8O24 (a GGA+U-relaxed structure; CuKα).

Cell and atoms:
```
data_Ca4Zn3FeSi8O24
_cell_length_a 5.328
_cell_length_b 6.746
_cell_length_c 13.469
_cell_angle_alpha 90.48
_cell_angle_beta 101.00
_cell_angle_gamma 101.78
_space_group_name_H-M_alt 'P 1'
_space_group_IT_number 1
loop_
_space_group_symop_operation_xyz
'x,y,z'
loop_
_atom_site_label
_atom_site_type_symbol
_atom_site_fract_x
_atom_site_fract_y
_atom_site_fract_z
Ca1 Ca 0.000 0.000 0.000
Ca2 Ca 0.201 0.404 0.704
Ca3 Ca 0.497 0.997 0.500
Ca4 Ca 0.702 0.403 0.202
Zn1 Zn 0.303 0.606 0.304
Zn2 Zn 0.399 0.798 0.900
Zn3 Zn 0.802 0.606 0.804
Fe1 Fe 0.897 0.795 0.399
Si1 Si 0.060 0.508 0.041
Si2 Si 0.142 0.897 0.664
Si3 Si 0.238 0.080 0.254
Si4 Si 0.467 0.324 0.949
Si5 Si 0.555 0.506 0.542
Si6 Si 0.645 0.895 0.162
Si7 Si 0.734 0.081 0.755
Si8 Si 0.964 0.322 0.450
O1 O 0.060 0.676 0.955
O2 O 0.082 0.587 0.156
O3 O 0.117 0.820 0.549
O4 O 0.141 0.729 0.749
O5 O 0.238 0.909 0.337
O6 O 0.266 0.334 0.519
O7 O 0.288 0.371 0.035
O8 O 0.336 0.094 0.909
O9 O 0.368 0.311 0.293
O10 O 0.419 0.034 0.168
O11 O 0.431 0.069 0.687
O12 O 0.470 0.496 0.866
O13 O 0.551 0.672 0.455
O14 O 0.579 0.586 0.657
O15 O 0.622 0.816 0.047
O16 O 0.644 0.727 0.248
O17 O 0.731 0.908 0.839
O18 O 0.770 0.336 0.018
O19 O 0.783 0.370 0.535
O20 O 0.836 0.092 0.411
O21 O 0.866 0.310 0.796
O22 O 0.914 0.034 0.670
O23 O 0.935 0.067 0.185
O24 O 0.967 0.493 0.365
```

The 10 most intense peaks (2θ from 10° to 90°), in order of rising 2θ:
- 6.600 Å, 13.42°, rel. 38, (0 1 0)
- 3.053 Å, 29.26°, rel. 57, (1 0 3)
- 3.050 Å, 29.28°, rel. 57, (-1 2 1)
- 3.011 Å, 29.67°, rel. 45, (0 1 -4)
- 2.616 Å, 34.28°, rel. 41, (1 1 3)
- 2.560 Å, 35.05°, rel. 100, (2 0 -2)
- 2.177 Å, 41.47°, rel. 29, (1 0 5)
- 1.790 Å, 51.02°, rel. 20, (0 3 4)
- 1.660 Å, 55.35°, rel. 18, (1 -1 7)
- 1.650 Å, 55.72°, rel. 24, (-3 2 3)

2.
Structure and calculated powder XRD pattern of Co4Mo4O19 (a GGA+U-relaxed structure; CuKα).

Cell and atoms:
```
data_Co4Mo4O19
_cell_length_a 6.965
_cell_length_b 7.047
_cell_length_c 9.154
_cell_angle_alpha 78.42
_cell_angle_beta 80.90
_cell_angle_gamma 75.37
_space_group_name_H-M_alt 'P 1'
_space_group_IT_number 1
loop_
_space_group_symop_operation_xyz
'x,y,z'
loop_
_atom_site_label
_atom_site_type_symbol
_atom_site_fract_x
_atom_site_fract_y
_atom_site_fract_z
Co1 Co 0.000 0.000 0.000
Co2 Co 0.021 0.188 0.292
Co3 Co 0.355 0.483 0.678
Co4 Co 0.396 0.658 0.952
Mo1 Mo 0.168 0.649 0.297
Mo2 Mo 0.281 0.010 0.618
Mo3 Mo 0.443 0.127 0.045
Mo4 Mo 0.948 0.526 0.939
O1 O 0.019 0.474 0.314
O2 O 0.039 0.037 0.808
O3 O 0.044 0.912 0.228
O4 O 0.060 0.689 0.014
O5 O 0.065 0.515 0.753
O6 O 0.089 0.083 0.496
O7 O 0.249 0.631 0.473
O8 O 0.311 0.152 0.227
O9 O 0.339 0.730 0.754
O10 O 0.343 0.224 0.661
O11 O 0.346 0.952 0.974
O12 O 0.390 0.583 0.166
O13 O 0.401 0.371 0.923
O14 O 0.492 0.919 0.503
O15 O 0.590 0.460 0.619
O16 O 0.690 0.627 0.928
O17 O 0.701 0.034 0.057
O18 O 0.784 0.221 0.337
O19 O 0.993 0.277 0.055
```

The 10 most intense peaks (2θ from 10° to 90°), in order of rising 2θ:
- 6.696 Å, 13.22°, rel. 100, (1 0 0)
- 5.083 Å, 17.45°, rel. 21, (1 0 -1)
- 3.918 Å, 22.70°, rel. 36, (1 0 2)
- 3.455 Å, 25.78°, rel. 15, (0 1 -2)
- 3.366 Å, 26.48°, rel. 72, (1 2 1)
- 3.327 Å, 26.80°, rel. 17, (2 1 1)
- 3.023 Å, 29.55°, rel. 31, (2 0 -1)
- 2.983 Å, 29.95°, rel. 17, (0 2 -1)
- 2.970 Å, 30.09°, rel. 28, (0 0 3)
- 2.835 Å, 31.55°, rel. 16, (2 0 2)